No. 1
# YSiSn
Simulated powder diffraction line list, CuKα. Input: a cell relaxed with PBE.
Neutral-atom scattering factors, no anomalous dispersion.

Largest 8 diffraction maxima, in order of rising 2θ, 15° ≤ 2θ ≤ 90°:
| 2θ/deg | d [Å] | I/Imax |
| --- | --- | --- |
| 25.0 | 3.567 | 15 |
| 32.8 | 2.734 | 23 |
| 34.4 | 2.605 | 15 |
| 34.9 | 2.569 | 100 |
| 42.2 | 2.144 | 16 |
| 45.8 | 1.981 | 13 |
| 59.9 | 1.545 | 12 |
| 72.4 | 1.305 | 12 |

Cell and atoms:
```
YSiSn
1.0
2.144 -8.202 0.000
2.144 8.202 0.000
0.000 0.000 3.962
Y Si Sn
2 2 2
Cartesian
2.144 6.665 2.971 Y
2.144 -6.665 0.990 Y
2.144 0.753 2.971 Si
2.144 -0.753 0.990 Si
2.144 3.969 0.990 Sn
2.144 -3.969 2.971 Sn
```


No. 2
# LiTmPbBr6
Simulated powder diffraction line list, CuKα. Input: a cell relaxed with PBE.
Neutral-atom scattering factors, no anomalous dispersion.

Largest 8 diffraction maxima, in order of rising 2θ, 15° ≤ 2θ ≤ 90°:
| 2θ/deg | d [Å] | I/Imax |
| --- | --- | --- |
| 15.9 | 5.572 | 37 |
| 19.7 | 4.498 | 100 |
| 28.6 | 3.125 | 85 |
| 32.1 | 2.786 | 28 |
| 37.2 | 2.417 | 91 |
| 41.2 | 2.191 | 34 |
| 44.2 | 2.049 | 51 |
| 55.7 | 1.650 | 25 |

Cell and atoms:
```
LiTmPbBr6
1.0
7.096 0.000 0.000
-3.548 6.146 0.000
0.000 0.000 13.203
Li Tm Pb Br
2 2 2 12
Cartesian
0.000 4.097 3.301 Li
3.548 2.049 9.902 Li
0.000 4.097 9.902 Tm
3.548 2.049 3.301 Tm
0.000 0.000 0.000 Pb
0.000 0.000 6.602 Pb
-1.260 2.197 1.738 Br
-2.275 3.955 4.864 Br
1.260 2.197 4.864 Br
-1.015 6.138 1.738 Br
2.533 0.007 8.339 Br
1.273 2.190 11.466 Br
2.275 3.955 1.738 Br
1.015 6.138 4.864 Br
4.563 0.007 11.466 Br
2.288 3.948 8.339 Br
5.823 2.190 8.339 Br
4.808 3.948 11.466 Br
```